1.
This entry pairs a crystal structure of Ho3Tl5 with its computed powder diffraction line list. Radiation: CuKα. Structure: DFT lattice parameters and positions (PBE).

Atomic structure:
```
16
Lattice="5.005 -4.033 0.000 5.005 4.033 0.000 0.000 0.000 10.434" Properties=species:S:1:pos:R:3 pbc="T T T"
Ho 5.005 3.160 7.825
Ho 2.935 0.000 0.000
Ho 2.935 0.000 5.217
Ho 7.075 0.000 0.000
Ho 7.075 0.000 5.217
Ho 5.005 -3.160 2.608
Tl 2.237 1.700 7.825
Tl 5.005 2.436 0.377
Tl 5.005 2.436 4.839
Tl 2.237 -1.700 2.608
Tl 5.005 0.016 2.608
Tl 5.005 -0.016 7.825
Tl 7.772 1.700 7.825
Tl 5.005 -2.436 5.594
Tl 5.005 -2.436 10.056
Tl 7.772 -1.700 2.608
```

Top 10 peaks for 2θ from 5° to 70°, by intensity:
33.3°, d = 2.690 Å, intensity 1000
34.4°, d = 2.608 Å, intensity 320
35.9°, d = 2.502 Å, intensity 242
34.5°, d = 2.596 Å, intensity 193
33.8°, d = 2.654 Å, intensity 168
50.5°, d = 1.806 Å, intensity 142
39.0°, d = 2.307 Å, intensity 140
66.9°, d = 1.399 Å, intensity 140
60.9°, d = 1.521 Å, intensity 136
38.6°, d = 2.331 Å, intensity 129

***

2.
This entry pairs a crystal structure of PrNiSb2Pd with its computed powder diffraction line list. Radiation: CuKα. Structure: DFT lattice parameters and positions (PBE).

Atomic structure:
```
10
Lattice="4.608 0.000 0.000 0.000 4.608 0.000 0.000 0.000 10.116" Properties=species:S:1:pos:R:3 pbc="T T T"
Pr 1.152 1.152 2.516
Pr 3.456 3.456 7.600
Ni 1.152 1.152 6.196
Ni 3.456 3.456 3.920
Sb 1.152 1.152 8.696
Sb 1.152 3.456 5.058
Sb 3.456 1.152 5.058
Sb 3.456 3.456 1.420
Pd 1.152 3.456 0.000
Pd 3.456 1.152 0.000
```

Top 10 peaks for 2θ from 5° to 70°, by intensity:
32.7°, d = 2.739 Å, intensity 1000
39.1°, d = 2.304 Å, intensity 644
32.9°, d = 2.721 Å, intensity 433
66.8°, d = 1.400 Å, intensity 248
52.0°, d = 1.758 Å, intensity 233
56.5°, d = 1.629 Å, intensity 216
45.4°, d = 1.998 Å, intensity 182
49.2°, d = 1.853 Å, intensity 169
64.5°, d = 1.444 Å, intensity 149
62.0°, d = 1.497 Å, intensity 117

***

3.
This entry pairs a crystal structure of ThRe4Si2 with its computed powder diffraction line list. Radiation: CuKα. Structure: DFT lattice parameters and positions (PBE).

Atomic structure:
```
28
Lattice="7.263 0.000 0.000 0.000 15.634 0.000 0.000 0.000 4.165" Properties=species:S:1:pos:R:3 pbc="T T T"
Th 0.618 1.851 0.000
Th 3.013 9.668 2.082
Th 4.249 5.965 2.082
Th 6.645 13.782 0.000
Re 0.025 11.034 2.082
Re 0.504 9.077 0.000
Re 1.024 7.017 2.082
Re 1.731 5.025 0.000
Re 1.900 12.842 2.082
Re 2.607 14.833 0.000
Re 3.128 1.260 2.082
Re 3.607 3.217 0.000
Re 3.656 12.416 0.000
Re 4.135 14.374 2.082
Re 4.656 0.800 0.000
Re 5.362 2.792 2.082
Re 5.532 10.609 0.000
Re 6.238 8.617 2.082
Re 6.759 6.557 0.000
Re 7.238 4.599 2.082
Si 1.245 15.248 2.082
Si 1.437 11.371 0.000
Si 2.195 3.554 2.082
Si 2.387 7.431 0.000
Si 4.876 8.203 0.000
Si 5.068 12.080 2.082
Si 5.826 4.263 0.000
Si 6.018 0.386 2.082
```

Top 10 peaks for 2θ from 5° to 70°, by intensity:
34.7°, d = 2.583 Å, intensity 1000
33.8°, d = 2.653 Å, intensity 961
43.5°, d = 2.082 Å, intensity 831
37.1°, d = 2.423 Å, intensity 805
13.4°, d = 6.587 Å, intensity 720
38.1°, d = 2.364 Å, intensity 629
40.2°, d = 2.242 Å, intensity 545
38.9°, d = 2.313 Å, intensity 473
42.3°, d = 2.135 Å, intensity 439
44.8°, d = 2.022 Å, intensity 437

***

4.
This entry pairs a crystal structure of Tm2SiGeIr with its computed powder diffraction line list. Radiation: CuKα. Structure: DFT lattice parameters and positions (PBE).

Atomic structure:
```
10
Lattice="5.248 -2.098 0.000 5.248 2.098 0.000 -4.809 0.000 8.812" Properties=species:S:1:pos:R:3 pbc="T T T"
Tm -0.788 0.000 1.532
Tm -1.033 0.000 5.398
Tm 6.720 0.000 3.413
Tm 6.475 0.000 7.279
Si -0.712 0.000 8.233
Si 6.399 0.000 0.579
Ge 2.012 0.000 5.500
Ge 3.675 0.000 3.312
Ir 2.233 0.000 1.079
Ir 3.454 0.000 7.732
```

Top 10 peaks for 2θ from 5° to 70°, by intensity:
34.0°, d = 2.638 Å, intensity 1000
37.4°, d = 2.408 Å, intensity 592
41.0°, d = 2.204 Å, intensity 376
41.5°, d = 2.176 Å, intensity 374
43.1°, d = 2.098 Å, intensity 373
27.7°, d = 3.219 Å, intensity 339
61.0°, d = 1.519 Å, intensity 234
35.2°, d = 2.547 Å, intensity 204
66.2°, d = 1.411 Å, intensity 195
33.6°, d = 2.670 Å, intensity 168

***

5.
This entry pairs a crystal structure of PrAgSe2 with its computed powder diffraction line list. Radiation: CuKα. Structure: DFT lattice parameters and positions (PBE).

Atomic structure:
```
16
Lattice="6.934 0.000 0.000 0.000 7.721 0.000 -0.982 0.000 7.409" Properties=species:S:1:pos:R:3 pbc="T T T"
Pr 1.063 0.320 2.199
Pr 0.572 3.540 5.903
Pr 5.380 4.181 1.506
Pr 4.889 7.401 5.210
Ag 2.477 5.168 3.399
Ag 1.986 6.414 7.103
Ag 3.966 1.307 0.306
Ag 3.475 2.554 4.010
Se -0.087 5.630 3.730
Se 0.405 5.952 0.026
Se 1.993 0.784 5.233
Se 2.484 3.077 1.529
Se 3.468 4.645 5.880
Se 3.959 6.937 2.176
Se 5.547 1.769 7.383
Se 6.038 2.092 3.679
```

Top 10 peaks for 2θ from 5° to 70°, by intensity:
29.5°, d = 3.024 Å, intensity 1000
33.5°, d = 2.673 Å, intensity 918
31.1°, d = 2.873 Å, intensity 683
22.0°, d = 4.038 Å, intensity 548
28.4°, d = 3.142 Å, intensity 446
35.0°, d = 2.567 Å, intensity 430
38.3°, d = 2.352 Å, intensity 418
49.2°, d = 1.853 Å, intensity 359
37.3°, d = 2.410 Å, intensity 322
38.7°, d = 2.324 Å, intensity 293

***

6.
This entry pairs a crystal structure of Nb3SiCN with its computed powder diffraction line list. Radiation: CuKα. Structure: DFT lattice parameters and positions (PBE).

Atomic structure:
```
12
Lattice="3.168 0.000 0.000 -1.584 2.744 0.000 0.000 0.000 17.911" Properties=species:S:1:pos:R:3 pbc="T T T"
Nb 0.000 0.000 0.000
Nb 0.000 0.000 8.955
Nb 0.000 1.829 2.495
Nb 0.000 1.829 6.411
Nb 1.584 0.915 11.500
Nb 1.584 0.915 15.416
Si 0.000 0.000 4.444
Si 0.000 0.000 13.467
C 0.000 1.829 10.276
C 1.584 0.915 7.634
N 0.000 1.829 16.639
N 1.584 0.915 1.272
```

Top 10 peaks for 2θ from 5° to 70°, by intensity:
38.5°, d = 2.339 Å, intensity 1000
41.5°, d = 2.178 Å, intensity 525
33.0°, d = 2.712 Å, intensity 467
58.2°, d = 1.584 Å, intensity 349
57.2°, d = 1.611 Å, intensity 209
9.9°, d = 8.955 Å, intensity 193
34.2°, d = 2.623 Å, intensity 184
40.3°, d = 2.239 Å, intensity 179
29.9°, d = 2.985 Å, intensity 162
61.9°, d = 1.500 Å, intensity 115

***

7.
This entry pairs a crystal structure of Pu2TcB6 with its computed powder diffraction line list. Radiation: CuKα. Structure: DFT lattice parameters and positions (PBE).

Atomic structure:
```
36
Lattice="9.292 0.000 0.000 0.000 11.399 0.000 0.000 0.000 3.642" Properties=species:S:1:pos:R:3 pbc="T T T"
Pu 0.427 1.248 0.000
Pu 1.528 4.651 0.000
Pu 3.118 10.350 0.000
Pu 4.219 6.947 0.000
Pu 5.073 4.452 0.000
Pu 6.174 1.049 0.000
Pu 7.764 6.748 0.000
Pu 8.865 10.151 0.000
Tc 1.346 7.752 0.000
Tc 3.300 2.052 0.000
Tc 5.992 9.346 0.000
Tc 7.946 3.647 0.000
B 0.112 3.216 1.821
B 0.489 6.476 1.821
B 1.301 10.956 1.821
B 1.328 9.251 1.821
B 1.842 2.595 1.821
B 2.269 6.581 1.821
B 2.377 0.881 1.821
B 2.804 8.294 1.821
B 3.318 3.552 1.821
B 3.345 5.257 1.821
B 4.157 0.776 1.821
B 4.535 8.916 1.821
B 4.758 2.483 1.821
B 5.135 10.622 1.821
B 5.947 6.142 1.821
B 5.974 7.847 1.821
B 6.489 3.104 1.821
B 6.915 10.517 1.821
B 7.023 4.818 1.821
B 7.450 8.804 1.821
B 7.964 2.147 1.821
B 7.991 0.443 1.821
B 8.803 4.923 1.821
B 9.181 8.183 1.821
```

Top 10 peaks for 2θ from 5° to 70°, by intensity:
24.4°, d = 3.642 Å, intensity 1000
39.0°, d = 2.310 Å, intensity 619
39.4°, d = 2.288 Å, intensity 555
29.9°, d = 2.989 Å, intensity 521
30.4°, d = 2.941 Å, intensity 471
40.2°, d = 2.244 Å, intensity 348
41.4°, d = 2.181 Å, intensity 330
31.4°, d = 2.850 Å, intensity 293
32.9°, d = 2.723 Å, intensity 264
59.4°, d = 1.556 Å, intensity 245

***

8.
This entry pairs a crystal structure of Cs2Au with its computed powder diffraction line list. Radiation: CuKα. Structure: DFT lattice parameters and positions (PBE).

Atomic structure:
```
30
Lattice="13.629 0.000 0.000 0.000 13.629 0.000 0.000 0.000 8.325" Properties=species:S:1:pos:R:3 pbc="T T T"
Cs 0.583 2.157 1.029
Cs 0.581 4.618 5.078
Cs 2.157 6.231 1.029
Cs 2.197 0.581 5.078
Cs 3.407 10.222 0.000
Cs 3.407 10.222 4.162
Cs 4.618 6.233 5.078
Cs 4.657 0.583 1.029
Cs 6.233 2.197 5.078
Cs 6.231 4.657 1.029
Cs 7.398 8.972 7.295
Cs 7.396 11.432 3.246
Cs 8.972 13.046 7.295
Cs 9.012 7.396 3.246
Cs 10.222 3.407 0.000
Cs 10.222 3.407 4.162
Cs 11.432 13.048 3.246
Cs 11.472 7.398 7.295
Cs 13.048 9.012 3.246
Cs 13.046 11.472 7.295
Au 1.289 12.266 2.102
Au 1.363 8.104 6.222
Au 3.407 3.407 3.110
Au 5.451 12.340 6.222
Au 5.525 8.178 2.102
Au 8.104 5.451 6.222
Au 8.178 1.289 2.102
Au 10.222 10.222 5.215
Au 12.266 5.525 2.102
Au 12.340 1.363 6.222
```

Top 10 peaks for 2θ from 5° to 70°, by intensity:
29.1°, d = 3.072 Å, intensity 1000
25.9°, d = 3.440 Å, intensity 918
29.3°, d = 3.048 Å, intensity 599
18.0°, d = 4.918 Å, intensity 597
29.8°, d = 2.994 Å, intensity 566
23.2°, d = 3.827 Å, intensity 541
35.5°, d = 2.525 Å, intensity 486
37.1°, d = 2.421 Å, intensity 341
34.0°, d = 2.637 Å, intensity 265
56.0°, d = 1.643 Å, intensity 255

***

9.
This entry pairs a crystal structure of LaGaNi2Sb with its computed powder diffraction line list. Radiation: CuKα. Structure: DFT lattice parameters and positions (PBE).

Atomic structure:
```
10
Lattice="4.368 0.000 0.000 0.000 4.368 0.000 0.000 0.000 9.974" Properties=species:S:1:pos:R:3 pbc="T T T"
La 1.092 1.092 2.464
La 3.276 3.276 7.510
Ga 1.092 3.276 0.000
Ga 3.276 1.092 0.000
Ni 1.092 1.092 8.850
Ni 1.092 3.276 4.987
Ni 3.276 1.092 4.987
Ni 3.276 3.276 1.124
Sb 1.092 1.092 6.340
Sb 3.276 3.276 3.634
```

Top 10 peaks for 2θ from 5° to 70°, by intensity:
34.1°, d = 2.626 Å, intensity 1000
33.9°, d = 2.646 Å, intensity 862
41.3°, d = 2.184 Å, intensity 787
54.5°, d = 1.684 Å, intensity 434
28.9°, d = 3.089 Å, intensity 331
50.3°, d = 1.815 Å, intensity 304
59.9°, d = 1.544 Å, intensity 255
67.1°, d = 1.396 Å, intensity 252
46.8°, d = 1.940 Å, intensity 165
63.6°, d = 1.464 Å, intensity 130

***

Copy entry 8 word for word.
This entry pairs a crystal structure of Cs2Au with its computed powder diffraction line list. Radiation: CuKα. Structure: DFT lattice parameters and positions (PBE).

Atomic structure:
```
30
Lattice="13.629 0.000 0.000 0.000 13.629 0.000 0.000 0.000 8.325" Properties=species:S:1:pos:R:3 pbc="T T T"
Cs 0.583 2.157 1.029
Cs 0.581 4.618 5.078
Cs 2.157 6.231 1.029
Cs 2.197 0.581 5.078
Cs 3.407 10.222 0.000
Cs 3.407 10.222 4.162
Cs 4.618 6.233 5.078
Cs 4.657 0.583 1.029
Cs 6.233 2.197 5.078
Cs 6.231 4.657 1.029
Cs 7.398 8.972 7.295
Cs 7.396 11.432 3.246
Cs 8.972 13.046 7.295
Cs 9.012 7.396 3.246
Cs 10.222 3.407 0.000
Cs 10.222 3.407 4.162
Cs 11.432 13.048 3.246
Cs 11.472 7.398 7.295
Cs 13.048 9.012 3.246
Cs 13.046 11.472 7.295
Au 1.289 12.266 2.102
Au 1.363 8.104 6.222
Au 3.407 3.407 3.110
Au 5.451 12.340 6.222
Au 5.525 8.178 2.102
Au 8.104 5.451 6.222
Au 8.178 1.289 2.102
Au 10.222 10.222 5.215
Au 12.266 5.525 2.102
Au 12.340 1.363 6.222
```

Top 10 peaks for 2θ from 5° to 70°, by intensity:
29.1°, d = 3.072 Å, intensity 1000
25.9°, d = 3.440 Å, intensity 918
29.3°, d = 3.048 Å, intensity 599
18.0°, d = 4.918 Å, intensity 597
29.8°, d = 2.994 Å, intensity 566
23.2°, d = 3.827 Å, intensity 541
35.5°, d = 2.525 Å, intensity 486
37.1°, d = 2.421 Å, intensity 341
34.0°, d = 2.637 Å, intensity 265
56.0°, d = 1.643 Å, intensity 255

***

Copy entry 2 word for word.
This entry pairs a crystal structure of PrNiSb2Pd with its computed powder diffraction line list. Radiation: CuKα. Structure: DFT lattice parameters and positions (PBE).

Atomic structure:
```
10
Lattice="4.608 0.000 0.000 0.000 4.608 0.000 0.000 0.000 10.116" Properties=species:S:1:pos:R:3 pbc="T T T"
Pr 1.152 1.152 2.516
Pr 3.456 3.456 7.600
Ni 1.152 1.152 6.196
Ni 3.456 3.456 3.920
Sb 1.152 1.152 8.696
Sb 1.152 3.456 5.058
Sb 3.456 1.152 5.058
Sb 3.456 3.456 1.420
Pd 1.152 3.456 0.000
Pd 3.456 1.152 0.000
```

Top 10 peaks for 2θ from 5° to 70°, by intensity:
32.7°, d = 2.739 Å, intensity 1000
39.1°, d = 2.304 Å, intensity 644
32.9°, d = 2.721 Å, intensity 433
66.8°, d = 1.400 Å, intensity 248
52.0°, d = 1.758 Å, intensity 233
56.5°, d = 1.629 Å, intensity 216
45.4°, d = 1.998 Å, intensity 182
49.2°, d = 1.853 Å, intensity 169
64.5°, d = 1.444 Å, intensity 149
62.0°, d = 1.497 Å, intensity 117

***

- Number 4 is which compound?
  Tm2SiGeIr